Starting from a cell relaxed with PBE, the powder XRD pattern of NdZrSb3 was simulated for Cu Kα.
No peak broadening, texture or thermal motion is included.

Top 10 peaks for 2θ from 10° to 90°, most intense first:
(5 0 0), 2θ 33.09, d = 2.708 Å, rel. 100
(2 2 0), 2θ 31.01, d = 2.883 Å, rel. 82
(0 2 2), 2θ 39.83, d = 2.263 Å, rel. 66
(2 0 2), 2θ 30.81, d = 2.902 Å, rel. 57
(3 1 1), 2θ 27.93, d = 3.194 Å, rel. 43
(2 4 2), 2θ 67.01, d = 1.397 Å, rel. 35
(3 0 2), 2θ 34.27, d = 2.617 Å, rel. 28
(3 2 0), 2θ 34.46, d = 2.603 Å, rel. 26
(7 0 0), 2θ 47.01, d = 1.933 Å, rel. 26
(3 1 2), 2θ 37.14, d = 2.421 Å, rel. 25

Cell and atoms:
```
data_NdZrSb3
_cell_length_a 13.526
_cell_length_b 6.375
_cell_length_c 6.426
_cell_angle_alpha 90.00
_cell_angle_beta 90.00
_cell_angle_gamma 90.00
_space_group_name_H-M_alt 'P b c m'
_space_group_IT_number 57
loop_
_space_group_symop_operation_xyz
'x,y,z'
'-x,-y,-z'
'-x,-y,z+1/2'
'x,y,-z+1/2'
'x,-y+1/2,-z'
'-x,y+1/2,z'
'-x,y+1/2,-z+1/2'
'x,-y+1/2,z+1/2'
loop_
_atom_site_label
_atom_site_type_symbol
_atom_site_fract_x
_atom_site_fract_y
_atom_site_fract_z
_atom_site_occupancy
Nd1 Nd 0.180 0.012 0.250 1
Zr1 Zr 0.409 0.750 0.000 1
Sb1 Sb 0.003 0.750 0.000 1
Sb2 Sb 0.262 0.505 0.250 1
Sb3 Sb 0.418 0.128 0.250 1
```

=====

Starting from a cell relaxed with PBE, the powder XRD pattern of Nd4Sc was simulated for Cu Kα.
No peak broadening, texture or thermal motion is included.

Top 10 peaks for 2θ from 10° to 90°, most intense first:
(1 0 5), 2θ 30.42, d = 2.938 Å, rel. 100
(1 1 0), 2θ 34.95, d = 2.567 Å, rel. 36
(2 1 5), 2θ 59.89, d = 1.544 Å, rel. 29
(1 1 10), 2θ 50.98, d = 1.791 Å, rel. 21
(0 0 10), 2θ 35.91, d = 2.501 Å, rel. 15
(2 0 0), 2θ 50.26, d = 1.815 Å, rel. 13
(2 0 10), 2θ 63.30, d = 1.469 Å, rel. 11
(1 0 15), 2θ 61.17, d = 1.515 Å, rel. 10
(2 1 15), 2θ 83.02, d = 1.163 Å, rel. 9
(1 0 3), 2θ 26.78, d = 3.329 Å, rel. 8

Cell and atoms:
```
data_Nd4Sc
_cell_length_a 3.631
_cell_length_b 3.631
_cell_length_c 25.010
_cell_angle_alpha 90.00
_cell_angle_beta 90.00
_cell_angle_gamma 90.00
_space_group_name_H-M_alt 'I 4/m m m'
_space_group_IT_number 139
_space_group_name_Hall '-I 4 2'
loop_
_atom_site_label
_atom_site_type_symbol
_atom_site_fract_x
_atom_site_fract_y
_atom_site_fract_z
_atom_site_occupancy
Nd1 Nd 0.000 0.000 0.092 1
Nd2 Nd 0.000 0.000 0.303 1
Sc1 Sc 0.000 0.000 0.500 1
```

=====

Starting from a cell relaxed with PBE, the powder XRD pattern of Nd2Sc3 was simulated for Cu Kα.
No peak broadening, texture or thermal motion is included.

Top 10 peaks for 2θ from 10° to 90°, most intense first:
(2 1 1), 2θ 29.47, d = 3.031 Å, rel. 100
(1 1 3), 2θ 32.55, d = 2.751 Å, rel. 72
(1 2 2), 2θ 30.37, d = 2.943 Å, rel. 72
(1 3 0), 2θ 32.91, d = 2.722 Å, rel. 57
(2 1 2), 2θ 33.73, d = 2.658 Å, rel. 45
(0 2 3), 2θ 34.59, d = 2.593 Å, rel. 39
(1 1 1), 2θ 18.80, d = 4.721 Å, rel. 29
(2 1 5), 2θ 55.98, d = 1.643 Å, rel. 24
(0 2 0), 2θ 19.95, d = 4.450 Å, rel. 24
(1 4 1), 2θ 43.82, d = 2.066 Å, rel. 23

Cell and atoms:
```
data_Nd2Sc3
_cell_length_a 6.846
_cell_length_b 8.899
_cell_length_c 9.575
_cell_angle_alpha 90.00
_cell_angle_beta 90.00
_cell_angle_gamma 90.00
_space_group_name_H-M_alt 'P b c n'
_space_group_IT_number 60
loop_
_space_group_symop_operation_xyz
'x,y,z'
'-x,-y,-z'
'-x+1/2,-y+1/2,z+1/2'
'x+1/2,y+1/2,-z+1/2'
'x+1/2,-y+1/2,-z'
'-x+1/2,y+1/2,z'
'-x,y,-z+1/2'
'x,-y,z+1/2'
loop_
_atom_site_label
_atom_site_type_symbol
_atom_site_fract_x
_atom_site_fract_y
_atom_site_fract_z
_atom_site_occupancy
Nd1 Nd 0.117 0.191 0.099 1
Sc1 Sc 0.000 0.147 0.750 1
Sc2 Sc 0.146 0.471 0.871 1
```

=====

Starting from a cell relaxed with PBE, the powder XRD pattern of Nd3ScTl3Se8 was simulated for Cu Kα.
No peak broadening, texture or thermal motion is included.

Top 10 peaks for 2θ from 10° to 90°, most intense first:
(0 2 4), 2θ 28.91, d = 3.089 Å, rel. 100
(2 0 8), 2θ 40.00, d = 2.254 Å, rel. 36
(2 2 0), 2θ 42.65, d = 2.120 Å, rel. 36
(4 0 4), 2θ 52.35, d = 1.748 Å, rel. 19
(0 1 2), 2θ 14.34, d = 6.177 Å, rel. 15
(2 4 4), 2θ 69.73, d = 1.349 Å, rel. 15
(2 2 12), 2θ 65.95, d = 1.416 Å, rel. 13
(0 4 8), 2θ 59.90, d = 1.544 Å, rel. 11
(4 2 8), 2θ 76.29, d = 1.248 Å, rel. 10
(2 0 2), 2θ 25.48, d = 3.496 Å, rel. 10

Cell and atoms:
```
data_Nd3ScTl3Se8
_cell_length_a 8.4797
_cell_length_b 8.4797
_cell_length_c 22.8442
_cell_angle_alpha 90.00
_cell_angle_beta 90.00
_cell_angle_gamma 120.00
_space_group_name_H-M_alt 'R -3 m'
_space_group_IT_number 166
_space_group_name_Hall '-R 3 2"'
loop_
_atom_site_label
_atom_site_type_symbol
_atom_site_fract_x
_atom_site_fract_y
_atom_site_fract_z
_atom_site_occupancy
Nd1 Nd 0.0000 0.5000 0.0000 1
Sc1 Sc 0.0000 0.0000 0.0000 1
Tl1 Tl 0.0000 0.5000 0.5000 1
Se1 Se 0.0000 0.0000 0.2611 1
Se2 Se 0.0212 0.5106 0.7347 1
```

=====

Starting from a cell relaxed with PBE, the powder XRD pattern of Nd3ScSi4 was simulated for Cu Kα.
No peak broadening, texture or thermal motion is included.

Top 10 peaks for 2θ from 10° to 90°, most intense first:
(1 1 2), 2θ 27.87, d = 3.201 Å, rel. 100
(0 1 3), 2θ 22.41, d = 3.967 Å, rel. 53
(1 0 5), 2θ 35.39, d = 2.537 Å, rel. 34
(0 3 3), 2θ 48.21, d = 1.888 Å, rel. 26
(0 0 6), 2θ 34.25, d = 2.618 Å, rel. 23
(0 2 0), 2θ 29.43, d = 3.035 Å, rel. 20
(1 2 1), 2θ 36.71, d = 2.448 Å, rel. 20
(1 3 2), 2θ 51.25, d = 1.783 Å, rel. 18
(1 1 8), 2θ 53.45, d = 1.714 Å, rel. 18
(2 0 0), 2θ 42.10, d = 2.146 Å, rel. 17

Cell and atoms:
```
data_Nd3ScSi4
_cell_length_a 4.293
_cell_length_b 6.070
_cell_length_c 15.722
_cell_angle_alpha 90.00
_cell_angle_beta 90.00
_cell_angle_gamma 90.00
_space_group_name_H-M_alt 'I m m m'
_space_group_IT_number 71
_space_group_name_Hall '-I 2 2'
loop_
_atom_site_label
_atom_site_type_symbol
_atom_site_fract_x
_atom_site_fract_y
_atom_site_fract_z
_atom_site_occupancy
Nd1 Nd 0.000 0.000 0.000 1
Nd2 Nd 0.000 0.500 0.193 1
Sc1 Sc 0.000 0.000 0.500 1
Si1 Si 0.000 0.308 0.374 1
```

=====

Starting from a cell relaxed with PBE, the powder XRD pattern of Nd3ScSi2 was simulated for Cu Kα.
No peak broadening, texture or thermal motion is included.

Top 10 peaks for 2θ from 10° to 90°, most intense first:
(1 1 2), 2θ 30.78, d = 2.905 Å, rel. 100
(1 0 3), 2θ 26.56, d = 3.356 Å, rel. 57
(1 1 4), 2θ 36.42, d = 2.467 Å, rel. 40
(0 1 5), 2θ 34.06, d = 2.632 Å, rel. 37
(0 1 1), 2θ 20.37, d = 4.359 Å, rel. 31
(0 0 6), 2θ 33.23, d = 2.696 Å, rel. 29
(0 2 0), 2θ 39.83, d = 2.263 Å, rel. 25
(1 1 8), 2θ 54.08, d = 1.696 Å, rel. 23
(1 2 3), 2θ 48.51, d = 1.876 Å, rel. 23
(2 0 0), 2θ 42.16, d = 2.143 Å, rel. 21

Cell and atoms:
```
data_Nd3ScSi2
_cell_length_a 4.287
_cell_length_b 4.527
_cell_length_c 16.179
_cell_angle_alpha 90.00
_cell_angle_beta 90.00
_cell_angle_gamma 90.00
_space_group_name_H-M_alt 'I m m m'
_space_group_IT_number 71
_space_group_name_Hall '-I 2 2'
loop_
_atom_site_label
_atom_site_type_symbol
_atom_site_fract_x
_atom_site_fract_y
_atom_site_fract_z
_atom_site_occupancy
Nd1 Nd 0.000 0.000 0.000 1
Nd2 Nd 0.000 0.500 0.320 1
Sc1 Sc 0.000 0.000 0.500 1
Si1 Si 0.000 0.500 0.129 1
```